This entry pairs a crystal structure of Cs2Cd6HgAu with its computed XRD peak list. Radiation: Cu Kα X-rays. Structure: a structure optimized by DFT (GGA-PBE).
Neutral-atom scattering factors, no anomalous dispersion.

The 6 most intense peaks (5° ≤ 2θ ≤ 70°), by angle:
15.9 deg, I = 58
22.6 deg, I = 72
27.7 deg, I = 50
32.1 deg, I = 100
32.2 deg, I = 50
46.0 deg, I = 72

Crystal structure
```
data_Cs2Cd6HgAu
_chemical_formula_sum 'Cs8 Cd24 Hg4 Au4'
_space_group_name_H-M_alt 'F m m m'
_space_group_IT_number 69
_space_group_name_Hall '-F 2 2'
_cell_length_a 11.127
_cell_length_b 11.148
_cell_length_c 11.179
_cell_angle_alpha 90.00
_cell_angle_beta 90.00
_cell_angle_gamma 90.00
loop_
_atom_site_label
_atom_site_fract_x
_atom_site_fract_y
_atom_site_fract_z
Cs1 0.250 0.250 0.250
Cd1 0.000 0.000 0.245
Cd2 0.000 0.245 0.000
Cd3 0.245 0.000 0.000
Hg1 0.000 0.000 0.500
Au1 0.000 0.000 0.000
```

---

This entry pairs a crystal structure of MgP4Cl10O6 with its computed XRD peak list. Radiation: Cu Kα X-rays. Structure: a structure optimized by DFT (GGA-PBE).
Neutral-atom scattering factors, no anomalous dispersion.

The 6 most intense peaks (5° ≤ 2θ ≤ 70°), by angle:
8.3 deg, I = 90
9.2 deg, I = 93
19.5 deg, I = 88
21.9 deg, I = 92
24.1 deg, I = 100
25.1 deg, I = 82

Crystal structure
```
data_MgP4Cl10O6
_chemical_formula_sum 'Mg2 P8 Cl20 O12'
_space_group_name_H-M_alt 'P -1'
_space_group_IT_number 2
_space_group_name_Hall '-P 1'
_cell_length_a 10.201
_cell_length_b 11.583
_cell_length_c 11.640
_cell_angle_alpha 107.67
_cell_angle_beta 96.85
_cell_angle_gamma 115.17
loop_
_atom_site_label
_atom_site_fract_x
_atom_site_fract_y
_atom_site_fract_z
Mg1 0.237 0.498 0.435
P1 0.013 0.650 0.417
P2 0.083 0.780 0.832
P3 0.410 0.293 0.355
P4 0.432 0.666 0.249
Cl1 0.040 0.388 0.773
Cl2 0.064 0.764 0.997
Cl3 0.091 0.961 0.852
Cl4 0.092 0.860 0.495
Cl5 0.288 0.092 0.338
Cl6 0.289 0.810 0.828
Cl7 0.357 0.303 0.707
Cl8 0.369 0.602 0.061
Cl9 0.404 0.265 0.171
Cl10 0.451 0.854 0.314
O1 0.038 0.339 0.277
O2 0.132 0.421 0.555
O3 0.143 0.626 0.448
O4 0.322 0.365 0.396
O5 0.327 0.567 0.293
O6 0.431 0.654 0.573
```

---

This entry pairs a crystal structure of K4Ba5 with its computed XRD peak list. Radiation: Cu Kα X-rays. Structure: a structure optimized by DFT (GGA-PBE).
Neutral-atom scattering factors, no anomalous dispersion.

The 6 most intense peaks (5° ≤ 2θ ≤ 70°), by angle:
7.9 deg, I = 32
23.8 deg, I = 55
25.1 deg, I = 100
33.9 deg, I = 24
42.7 deg, I = 44
45.1 deg, I = 19

Crystal structure
```
data_K4Ba5
_chemical_formula_sum 'K8 Ba10'
_space_group_name_H-M_alt 'I 4/m m m'
_space_group_IT_number 139
_space_group_name_Hall '-I 4 2'
_cell_length_a 15.878
_cell_length_b 15.878
_cell_length_c 4.765
_cell_angle_alpha 90.00
_cell_angle_beta 90.00
_cell_angle_gamma 90.00
loop_
_atom_site_label
_atom_site_fract_x
_atom_site_fract_y
_atom_site_fract_z
K1 0.000 0.335 0.000
Ba1 0.000 0.000 0.000
Ba2 0.163 0.163 0.500
```

---

This entry pairs a crystal structure of Y3Hg2Rh3 with its computed XRD peak list. Radiation: Cu Kα X-rays. Structure: a structure optimized by DFT (GGA-PBE).
Neutral-atom scattering factors, no anomalous dispersion.

The 6 most intense peaks (5° ≤ 2θ ≤ 70°), by angle:
12.3 deg, I = 58
36.5 deg, I = 30
37.5 deg, I = 78
37.7 deg, I = 100
54.3 deg, I = 28
67.9 deg, I = 22

Crystal structure
```
data_Y3Hg2Rh3
_chemical_formula_sum 'Y6 Hg4 Rh6'
_space_group_name_H-M_alt 'P 63/m c m'
_space_group_IT_number 193
_space_group_name_Hall '-P 6c 2'
_cell_length_a 8.2985
_cell_length_b 8.2985
_cell_length_c 5.8280
_cell_angle_alpha 90.00
_cell_angle_beta 90.00
_cell_angle_gamma 120.00
loop_
_atom_site_label
_atom_site_fract_x
_atom_site_fract_y
_atom_site_fract_z
Y1 0.0000 0.2800 0.2500
Hg1 0.3333 0.6667 0.0000
Rh1 0.0000 0.3802 0.7500
```

---

This entry pairs a crystal structure of Na4InHg with its computed XRD peak list. Radiation: Cu Kα X-rays. Structure: a structure optimized by DFT (GGA-PBE).
Neutral-atom scattering factors, no anomalous dispersion.

The 6 most intense peaks (5° ≤ 2θ ≤ 70°), by angle:
18.7 deg, I = 100
19.8 deg, I = 41
32.1 deg, I = 33
34.0 deg, I = 49
34.1 deg, I = 38
34.5 deg, I = 37

Crystal structure
```
data_Na4InHg
_chemical_formula_sum 'Na4 In1 Hg1'
_space_group_name_H-M_alt 'P 1 m 1'
_space_group_IT_number 6
_space_group_name_Hall 'P -2y'
_cell_length_a 3.405
_cell_length_b 5.582
_cell_length_c 9.101
_cell_angle_alpha 90.00
_cell_angle_beta 100.02
_cell_angle_gamma 90.00
loop_
_atom_site_label
_atom_site_fract_x
_atom_site_fract_y
_atom_site_fract_z
Na1 0.000 0.000 0.000
Na2 0.114 0.500 0.205
Na3 0.320 0.000 0.650
Na4 0.774 0.500 0.538
In1 0.441 0.500 0.864
Hg1 0.673 0.000 0.330
```